This entry pairs a crystal structure of Li4Pr2O5 with its simulated X-ray diffraction stick pattern. Radiation: λ = 1.5418 Å (Cu Kα). Structure: a cell relaxed with PBE.
Lines closer than 0.1° are merged.

The 10 most intense peaks (2θ from 5° to 70°), in order of rising 2θ:
2θ/deg	I (rel.)
12.69	48
18.96	100
19.78	59
26.86	66
27.53	30
33.08	55
37.96	30
38.46	29
38.73	26
47.53	28

```
Li4Pr2O5
1.0
2.3704 -6.9755 0.0000
2.3704 6.9755 0.0000
0.0000 0.0000 4.6815
Li Pr O
4 2 5
Cartesian
0.0000 0.0000 0.0000 Li
2.3704 4.3403 2.3407 Li
2.3704 0.0000 2.3407 Li
2.3704 -4.3403 2.3407 Li
2.3704 2.2251 0.0000 Pr
2.3704 -2.2251 0.0000 Pr
2.3704 4.7991 0.0000 O
2.3704 2.2761 2.3407 O
2.3704 0.0000 0.0000 O
2.3704 -2.2761 2.3407 O
2.3704 -4.7991 0.0000 O
```



This entry pairs a crystal structure of Na4OsSe4 with its simulated X-ray diffraction stick pattern. Radiation: λ = 1.5418 Å (Cu Kα). Structure: a cell relaxed with PBE.
Lines closer than 0.1° are merged.

The 10 most intense peaks (2θ from 5° to 70°), in order of rising 2θ:
2θ/deg	I (rel.)
15.54	42
16.51	100
25.32	27
27.67	63
29.36	16
33.39	18
35.22	28
40.35	20
43.50	23
45.43	34

```
Na4OsSe4
1.0
8.0662 0.0000 0.0000
0.0000 8.0662 0.0000
0.0000 0.0000 7.1911
Na Os Se
8 2 8
Cartesian
0.7391 2.4387 3.3882 Na
1.5944 3.2940 6.9838 Na
2.4387 7.3271 3.8029 Na
3.2940 6.4718 0.2074 Na
4.7722 1.5944 0.2074 Na
5.6275 0.7391 3.8029 Na
6.4718 4.7722 6.9838 Na
7.3271 5.6275 3.3882 Na
0.0000 0.0000 0.0000 Os
4.0331 4.0331 3.5956 Os
0.7308 6.2117 5.8873 Se
1.8545 0.7308 1.3038 Se
2.1786 4.7639 2.2918 Se
3.3023 2.1786 4.8994 Se
4.7639 5.8876 4.8994 Se
5.8876 3.3023 2.2918 Se
6.2117 7.3354 1.3038 Se
7.3354 1.8545 5.8873 Se
```



This entry pairs a crystal structure of GdSe with its simulated X-ray diffraction stick pattern. Radiation: λ = 1.5418 Å (Cu Kα). Structure: a cell relaxed with PBE.
Lines closer than 0.1° are merged.

The 6 most intense peaks (2θ from 5° to 70°), in order of rising 2θ:
2θ/deg	I (rel.)
26.58	19
30.79	100
44.10	74
52.24	10
54.75	26
64.14	12

```
GdSe
1.0
0.0000 2.9041 2.9041
2.9041 0.0000 2.9041
2.9041 2.9041 0.0000
Gd Se
1 1
Cartesian
0.0000 0.0000 0.0000 Gd
2.9041 2.9041 2.9041 Se
```